1.
# CaAl2F10
Theoretical XRD peak list, Cu Kα (λ = 1.5418 Å). Input: a structure optimized by DFT (GGA-PBE).
Intensities are scaled so that the largest is 100.

Most intense lines, 2θ = 5–70°, in order of falling intensity:
2theta  I/Imax
21.98  100
28.26  77
17.55  59
19.00  39
44.83  38
44.07  31

Cell and atoms:
```
CaAl2F10
1.0
4.5269 -3.2359 0.0000
4.5269 3.2359 0.0000
-3.2591 0.0000 6.4734
Ca Al F
1 2 10
Cartesian
0.0000 0.0000 0.0000
3.6463 -0.1020 1.6030
2.1484 -0.1020 4.8705
1.5728 1.5238 5.0564
2.1205 -0.0223 0.7496
4.2219 1.5238 1.4170
0.6500 -0.8150 4.0201
2.8974 0.1989 3.2367
4.5269 -0.6558 0.0000
3.6742 -0.0223 5.7238
2.2180 -1.9702 4.5727
3.5767 -1.9702 1.9007
5.1448 -0.8150 2.4534
```

***

2.
# Li5Y2Ag5
Theoretical XRD peak list, Cu Kα (λ = 1.5418 Å). Input: a structure optimized by DFT (GGA-PBE).
Intensities are scaled so that the largest is 100.

Most intense lines, 2θ = 5–70°, in order of falling intensity:
2theta  I/Imax
38.39  100
19.16  77
32.94  36
33.83  34
38.89  26
39.17  24

Cell and atoms:
```
Li5Y2Ag5
1.0
4.6320 0.0000 0.0000
0.0000 5.2995 0.0000
0.0000 0.0000 9.5030
Li Y Ag
5 2 5
Cartesian
0.0000 0.0000 0.0000
0.0000 1.3332 2.4108
0.0000 1.3332 7.0922
0.0000 3.9663 2.4108
0.0000 3.9663 7.0922
2.3160 0.0000 4.7515
2.3160 2.6497 0.0000
0.0000 2.6497 4.7515
2.3160 0.0000 1.5946
2.3160 0.0000 7.9084
2.3160 2.6497 3.0670
2.3160 2.6497 6.4359
```

***

3.
# SrSm2N
Theoretical XRD peak list, Cu Kα (λ = 1.5418 Å). Input: a structure optimized by DFT (GGA-PBE).
Intensities are scaled so that the largest is 100.

Most intense lines, 2θ = 5–70°, in order of falling intensity:
2theta  I/Imax
28.44  100
37.29  92
8.87  88
26.82  47
35.36  44
50.07  40

Cell and atoms:
```
SrSm2N
1.0
1.8218 1.0518 9.9720
-1.8218 1.0518 9.9720
0.0000 -2.1036 9.9720
Sr Sm N
1 2 1
Cartesian
0.0000 0.0000 0.0000
0.0000 0.0000 3.6462
0.0000 0.0000 26.2698
0.0000 0.0000 14.9580
```

***

4.
# TmAg8
Theoretical XRD peak list, Cu Kα (λ = 1.5418 Å). Input: a structure optimized by DFT (GGA-PBE).
Intensities are scaled so that the largest is 100.

Most intense lines, 2θ = 5–70°, in order of falling intensity:
2theta  I/Imax
36.79  100
43.00  32
61.85  21
42.24  17
62.43  10
30.63  1

Cell and atoms:
```
TmAg8
1.0
-4.4624 4.4624 2.1397
4.4624 -4.4624 2.1397
4.4624 4.4624 -2.1397
Tm Ag
1 8
Cartesian
0.0000 0.0000 0.0000
3.0018 0.0000 0.0000
5.9230 0.0000 0.0000
2.9488 2.9488 0.0000
1.5135 -1.5135 2.1397
0.0000 3.0018 0.0000
0.0000 5.9230 0.0000
-1.5135 1.5135 2.1397
1.5135 1.5135 2.1397
```

***

5.
# IrRu3Rh4
Theoretical XRD peak list, Cu Kα (λ = 1.5418 Å). Input: a structure optimized by DFT (GGA-PBE).
Intensities are scaled so that the largest is 100.

Most intense lines, 2θ = 5–70°, in order of falling intensity:
2theta  I/Imax
43.27  100
40.40  34
37.55  27
56.33  16
38.58  12
69.00  7

Cell and atoms:
```
IrRu3Rh4
1.0
9.6753 -2.2327 0.0000
9.6753 2.2327 0.0000
-0.3800 0.0000 2.6954
Ir Ru Rh
1 3 4
Cartesian
0.0000 0.0000 0.0000
5.0581 0.0000 0.7185
9.4853 0.0000 1.3477
13.9125 0.0000 1.9769
2.5352 0.0000 1.7368
7.1216 0.0000 2.3856
11.8490 0.0000 0.3098
16.4354 0.0000 0.9587
```

***

6.
# Ce2Sn3Pd2
Theoretical XRD peak list, Cu Kα (λ = 1.5418 Å). Input: a structure optimized by DFT (GGA-PBE).
Intensities are scaled so that the largest is 100.

Most intense lines, 2θ = 5–70°, in order of falling intensity:
2theta  I/Imax
31.35  100
32.06  63
39.10  48
44.73  33
40.86  28
29.48  25

Cell and atoms:
```
Ce2Sn3Pd2
1.0
2.3040 -9.9658 0.0000
2.3040 9.9658 0.0000
0.0000 0.0000 7.3916
Ce Sn Pd
4 6 4
Cartesian
2.3040 9.0792 5.5437
2.3040 6.7301 1.8479
2.3040 -6.7301 5.5437
2.3040 -9.0792 1.8479
2.3040 5.7120 5.5437
2.3040 1.3917 4.0881
2.3040 1.3917 6.9993
2.3040 -1.3917 0.3923
2.3040 -1.3917 3.3035
2.3040 -5.7120 1.8479
2.3040 4.0280 0.3391
2.3040 4.0280 3.3566
2.3040 -4.0280 4.0349
2.3040 -4.0280 7.0524
```

***

7.
# Ca3ErPt8
Theoretical XRD peak list, Cu Kα (λ = 1.5418 Å). Input: a structure optimized by DFT (GGA-PBE).
Intensities are scaled so that the largest is 100.

Most intense lines, 2θ = 5–70°, in order of falling intensity:
2theta  I/Imax
38.75  100
40.53  74
19.94  59
38.90  34
47.22  31
40.77  24

Cell and atoms:
```
Ca3ErPt8
1.0
2.7281 1.5751 8.8522
-2.7281 1.5751 8.8522
0.0000 -3.1501 8.8522
Ca Er Pt
3 1 8
Cartesian
0.0000 0.0000 0.0000
0.0000 0.0000 3.2914
0.0000 0.0000 13.1798
0.0000 0.0000 16.5169
-1.3738 -0.7932 10.4279
0.0000 -1.5867 6.0722
-1.3741 0.7933 6.0722
0.0000 0.0000 8.2496
1.3738 -0.7932 10.4279
0.0000 1.5864 10.4279
1.3741 0.7933 6.0722
0.0000 0.0000 21.5292
```

***

8.
# Ac2DyThBi5
Theoretical XRD peak list, Cu Kα (λ = 1.5418 Å). Input: a structure optimized by DFT (GGA-PBE).
Intensities are scaled so that the largest is 100.

Most intense lines, 2θ = 5–70°, in order of falling intensity:
2theta  I/Imax
30.87  100
21.70  73
43.34  66
29.65  45
7.34  43
44.22  38

Cell and atoms:
```
Ac2DyThBi5
1.0
5.7927 0.0000 0.0000
0.0000 5.7927 0.0000
0.0000 0.0000 12.0507
Ac Dy Th Bi
2 1 1 5
Cartesian
0.0000 0.0000 2.5700
0.0000 0.0000 9.4807
2.8964 2.8964 6.0254
2.8964 2.8964 0.0000
0.0000 0.0000 6.0254
0.0000 2.8964 0.0000
2.8964 0.0000 0.0000
2.8964 2.8964 3.1049
2.8964 2.8964 8.9458
```

***

9.
# UGaBi
Theoretical XRD peak list, Cu Kα (λ = 1.5418 Å). Input: a structure optimized by DFT (GGA-PBE).
Intensities are scaled so that the largest is 100.

Most intense lines, 2θ = 5–70°, in order of falling intensity:
2theta  I/Imax
33.87  100
36.10  61
39.04  51
32.94  47
67.43  38
10.85  36

Cell and atoms:
```
UGaBi
1.0
3.2312 0.0000 0.0000
-1.6156 2.7983 0.0000
0.0000 0.0000 16.3127
U Ga Bi
2 2 2
Cartesian
0.0000 1.8655 0.0000
1.6156 0.9328 8.1564
0.0000 1.8655 5.7069
1.6156 0.9328 13.8632
0.0000 0.0000 2.8943
0.0000 0.0000 11.0506
```

***

10.
# CaFe5As3
Theoretical XRD peak list, Cu Kα (λ = 1.5418 Å). Input: a structure optimized by DFT (GGA-PBE).
Intensities are scaled so that the largest is 100.

Most intense lines, 2θ = 5–70°, in order of falling intensity:
2theta  I/Imax
37.18  100
48.60  80
47.75  53
42.04  38
34.51  29
50.45  27

Cell and atoms:
```
CaFe5As3
1.0
7.2356 0.0000 0.0000
0.0000 3.8098 0.0000
-1.8202 0.0000 9.3650
Ca Fe As
2 10 6
Cartesian
0.8888 0.9525 2.6510
4.5267 2.8574 6.7140
-0.4922 0.9525 5.4503
0.8510 2.8574 0.0060
0.8356 2.8574 7.4008
2.7483 0.9525 0.0604
2.3052 0.9525 5.4298
3.1102 2.8574 3.9352
2.6672 2.8574 9.3046
4.5799 0.9525 1.9642
4.5645 0.9525 9.3590
5.9076 2.8574 3.9147
-0.7900 0.9525 7.8456
0.8826 2.8574 4.9421
2.7846 2.8574 1.5327
2.6309 0.9525 7.8323
4.5329 0.9525 4.4228
6.2055 2.8574 1.5194
```

***

11.
# PmNd5Al2
Theoretical XRD peak list, Cu Kα (λ = 1.5418 Å). Input: a structure optimized by DFT (GGA-PBE).
Intensities are scaled so that the largest is 100.

Most intense lines, 2θ = 5–70°, in order of falling intensity:
2theta  I/Imax
32.80  100
32.69  60
25.83  56
58.52  42
56.76  30
46.99  22

Cell and atoms:
```
PmNd5Al2
1.0
5.4608 0.0000 0.0000
-2.7304 4.7292 0.0000
0.0000 0.0000 20.1626
Pm Nd Al
2 10 4
Cartesian
0.0000 3.1528 5.0406
2.7304 1.5764 15.1219
0.0000 0.0000 3.1144
0.0000 0.0000 6.9669
0.0000 0.0000 13.1957
0.0000 0.0000 17.0482
0.0000 3.1528 11.2151
0.0000 3.1528 15.1219
0.0000 3.1528 19.0288
2.7304 1.5764 1.1338
2.7304 1.5764 5.0406
2.7304 1.5764 8.9475
0.0000 3.1528 2.0002
0.0000 3.1528 8.0811
2.7304 1.5764 12.0815
2.7304 1.5764 18.1623
```

***

12.
# Pu2BrO7
Theoretical XRD peak list, Cu Kα (λ = 1.5418 Å). Input: a structure optimized by DFT (GGA-PBE).
Intensities are scaled so that the largest is 100.

Most intense lines, 2θ = 5–70°, in order of falling intensity:
2theta  I/Imax
24.19  100
26.39  62
21.42  43
15.22  42
27.63  35
46.83  20

Cell and atoms:
```
Pu2BrO7
1.0
6.7177 -3.2286 0.0000
6.7177 3.2286 0.0000
-0.0278 0.0000 4.1481
Pu Br O
2 1 7
Cartesian
2.0717 0.0000 2.0701
11.3360 0.0000 2.0780
6.7177 0.0000 0.0000
-0.0139 0.0000 2.0740
4.6253 1.4239 2.0793
2.0789 0.0000 4.1443
8.7824 1.4239 2.0687
4.6253 -1.4239 2.0793
11.3288 0.0000 0.0037
8.7824 -1.4239 2.0687
```

***

13.
# Ho6ZrSc8
Theoretical XRD peak list, Cu Kα (λ = 1.5418 Å). Input: a structure optimized by DFT (GGA-PBE).
Intensities are scaled so that the largest is 100.

Most intense lines, 2θ = 5–70°, in order of falling intensity:
2theta  I/Imax
33.39  100
32.38  38
13.63  35
34.42  26
30.36  19
39.11  17

Cell and atoms:
```
Ho6ZrSc8
1.0
4.2663 2.4631 6.4969
-4.2663 2.4631 6.4969
0.0000 -4.9263 6.4969
Ho Zr Sc
6 1 8
Cartesian
-2.8670 -1.1339 8.9022
-0.4515 -3.0499 10.5885
-2.4155 1.9160 10.5885
2.4155 -1.9160 8.9022
0.4515 3.0499 8.9022
2.8670 1.1339 10.5885
0.0000 0.0000 9.7453
0.0000 0.0000 1.4470
-0.1306 -1.8402 7.0119
-1.5283 1.0332 7.0119
-1.6589 -0.8070 12.4787
1.6589 0.8070 7.0120
1.5283 -1.0332 12.4787
0.1306 1.8402 12.4787
0.0000 0.0000 18.0437
```